Diffraction record for V2O3F. The powder diffractogram is theoretical, not measured: it uses a crystal structure in the Materials Project, relaxed with PBE+U and Cu Ka.
Kinematic intensities with the Lorentz-polarization factor, no thermal factor.

```
data_V2O3F
_cell_length_a 10.233
_cell_length_b 4.765
_cell_length_c 5.785
_cell_angle_alpha 90.00
_cell_angle_beta 90.00
_cell_angle_gamma 90.00
_space_group_name_H-M_alt 'P n a 21'
_space_group_IT_number 33
loop_
_space_group_symop_operation_xyz
'x,y,z'
'-x,-y,z+1/2'
'-x+1/2,y+1/2,z+1/2'
'x+1/2,-y+1/2,z'
loop_
_atom_site_label
_atom_site_type_symbol
_atom_site_fract_x
_atom_site_fract_y
_atom_site_fract_z
_atom_site_occupancy
V1 V 0.025 0.056 0.000 1
V2 V 0.232 0.539 0.238 1
O1 O 0.083 0.792 0.246 1
O2 O 0.094 0.842 0.742 1
O3 O 0.167 0.270 0.994 1
F1 F 0.167 0.273 0.488 1
```

Main lines, low angle first (10° ≤ 2θ ≤ 90°):
2θ/deg	I/Imax
20.56	85
25.74	100
32.28	38
35.66	30
35.91	35
37.42	19
40.52	43
52.48	21
52.91	48
58.55	14
63.33	28
64.43	14